Record 1
Computed powder XRD pattern
Compound: BaCa2PtO5
Radiation: Cu Kα (weighted mean of Kα1 and Kα2)
Structure: the GGA-PBE geometry in Alexandria
Kinematic intensities with the Lorentz-polarization factor, no thermal factor.

Cell and atoms:
Unit cell a=3.9779 b=5.8589 c=11.2821 alpha=90.00 beta=90.00 gamma=90.00
Space group Immm (No. 71)
Asymmetric unit:
1 Ba 0.0000 0.0000 0.0000 (multiplicity 2)
2 Ca 0.0000 0.5000 0.2127 (multiplicity 4)
3 Pt 0.0000 0.0000 0.5000 (multiplicity 2)
4 O 0.0000 0.2351 0.3633 (multiplicity 8)
5 O 0.0000 0.5000 0.0000 (multiplicity 2)

Main lines, low angle first (2θ from 10° to 80°):
hkl 0 0 2, 2θ 15.71, d 5.641, intensity 57.1; hkl 1 1 0, 2θ 27.09, d 3.291, intensity 25.6; hkl 0 2 0, 2θ 30.52, d 2.929, intensity 23.9; hkl 1 1 2, 2θ 31.47, d 2.843, intensity 100.0; hkl 0 2 4, 2θ 44.60, d 2.032, intensity 26.1; hkl 1 3 2, 2θ 54.84, d 1.674, intensity 21.0

***

Record 2
Computed powder XRD pattern
Compound: MgZnPdPt
Radiation: Cu Kα (weighted mean of Kα1 and Kα2)
Structure: the GGA-PBE geometry in Alexandria
Kinematic intensities with the Lorentz-polarization factor, no thermal factor.

Cell and atoms:
Unit cell a=4.1684 b=4.1684 c=6.9846 alpha=90.00 beta=90.00 gamma=90.00
Space group I-4m2 (No. 119)
Asymmetric unit:
1 Mg 0.0000 0.0000 0.0000 (multiplicity 2)
2 Zn 0.0000 0.0000 0.5000 (multiplicity 2)
3 Pd 0.0000 0.5000 0.2500 (multiplicity 2)
4 Pt 0.0000 0.5000 0.7500 (multiplicity 2)

Main lines, low angle first (2θ from 10° to 80°):
hkl 1 0 1, 2θ 24.88, d 3.579, intensity 19.1; hkl 0 0 2, 2θ 25.51, d 3.492, intensity 21.1; hkl 1 1 0, 2θ 30.32, d 2.947, intensity 27.3; hkl 1 1 2, 2θ 40.03, d 2.252, intensity 100.0; hkl 2 0 0, 2θ 43.42, d 2.084, intensity 39.7; hkl 3 1 2, 2θ 77.38, d 1.233, intensity 28.3

***

Record 3
Computed powder XRD pattern
Compound: Pd3AuSe8
Radiation: Cu Kα (weighted mean of Kα1 and Kα2)
Structure: the GGA-PBE geometry in Alexandria
Kinematic intensities with the Lorentz-polarization factor, no thermal factor.

Cell and atoms:
Unit cell a=5.6149 b=7.3443 c=7.3793 alpha=90.21 beta=90.14 gamma=90.66
Space group P-1 (No. 2)
Asymmetric unit:
1 Pd 0.0000 0.0000 0.0000 (multiplicity 1)
2 Pd 0.0000 0.5000 0.0000 (multiplicity 1)
3 Pd 0.5000 0.0000 0.5000 (multiplicity 1)
4 Au 0.5000 0.5000 0.5000 (multiplicity 1)
5 Se 0.0185 0.7496 0.7751 (multiplicity 2)
6 Se 0.0211 0.7510 0.2242 (multiplicity 2)
7 Se 0.4619 0.7571 0.2703 (multiplicity 2)
8 Se 0.4695 0.7581 0.7307 (multiplicity 2)

Main lines, low angle first (2θ from 10° to 80°):
hkl 1 0 -1, 2θ 19.85, d 4.474, intensity 100.0; hkl 1 0 1, 2θ 19.90, d 4.463, intensity 92.7; hkl 2 0 0, 2θ 31.88, d 2.807, intensity 99.3; hkl 0 2 -2, 2θ 34.39, d 2.608, intensity 83.5; hkl 0 2 2, 2θ 34.53, d 2.598, intensity 81.9; hkl 2 -2 2, 2θ 47.44, d 1.916, intensity 61.0